The following is a theoretical powder diffractogram of LuAgSe2. It was derived from a cell relaxed with PBE, using Cu Kα (weighted mean of Kα1 and Kα2).
Kinematic intensities with the Lorentz-polarization factor, no thermal factor.

The 8 most intense peaks (5° ≤ 2θ ≤ 70°), by intensity:
| (hkl) | Position (°2θ) | I/Imax |
| --- | --- | --- |
| 1 1 2 | 28.2 | 100 |
| 0 2 4 | 37.3 | 98 |
| 1 2 2 | 36.4 | 68 |
| 1 1 3 | 31.8 | 53 |
| 0 0 4 | 26.1 | 46 |
| 1 0 6 | 45.3 | 46 |
| 2 1 1 | 45.8 | 40 |
| 1 0 2 | 24.9 | 38 |

Structural model:
```
LuAgSe2
1.0
4.191 0.000 0.000
0.000 6.815 0.000
0.000 0.000 13.678
Lu Ag Se
4 4 8
Direct
0.228 0.210 0.371 Lu
0.272 0.790 0.871 Lu
0.728 0.290 0.629 Lu
0.772 0.710 0.129 Lu
0.001 0.206 0.122 Ag
0.499 0.794 0.622 Ag
0.501 0.294 0.878 Ag
0.999 0.706 0.378 Ag
0.228 0.087 0.727 Se
0.230 0.482 0.528 Se
0.270 0.518 0.028 Se
0.272 0.913 0.227 Se
0.728 0.413 0.273 Se
0.730 0.018 0.472 Se
0.770 0.982 0.972 Se
0.772 0.587 0.773 Se
```